1.
Diffraction record for Dy2HoHg8. The X-ray diffraction stick pattern is theoretical, not measured: it uses a crystal structure in Alexandria, relaxed with PBE and Cu Kα (λ = 1.5418 Å).
Peak positions follow from Bragg's law for the DFT cell and can differ from measured ones.

Cell lengths 8.355, 8.355, 7.225 Å; angles 108.41, 108.41, 34.32 degrees
Element x y z (fractional)
Dy 0.215 0.215 0.156
Dy 0.785 0.785 0.844
Ho 0.500 0.500 0.500
Hg 0.028 0.028 0.230
Hg 0.150 0.150 0.681
Hg 0.329 0.329 0.600
Hg 0.403 0.403 0.047
Hg 0.597 0.597 0.953
Hg 0.671 0.671 0.400
Hg 0.850 0.850 0.319
Hg 0.972 0.972 0.770

Peak list (12 most intense, 2θ from 15° to 90°, in order of rising 2θ)
d (Å)	2θ (°)	I/Imax
2.667	33.60	90
2.631	34.08	100
2.465	36.45	42
2.314	38.93	31
2.138	42.26	23
1.687	54.39	23
1.615	57.02	19
1.556	59.42	10
1.459	63.80	14
1.453	64.09	17
1.384	67.70	12
1.315	71.75	12



2.
Diffraction record for Dy2Ho3Hg2. The X-ray diffraction stick pattern is theoretical, not measured: it uses a crystal structure in Alexandria, relaxed with PBE and Cu Kα (λ = 1.5418 Å).
Peak positions follow from Bragg's law for the DFT cell and can differ from measured ones.

Cell lengths 5.332, 5.332, 8.467 Å; angles 108.28, 108.28, 59.93 degrees
Element x y z (fractional)
Dy 0.075 0.075 0.226
Dy 0.925 0.925 0.774
Ho 0.343 0.343 0.028
Ho 0.500 0.500 0.500
Ho 0.657 0.657 0.972
Hg 0.214 0.214 0.641
Hg 0.786 0.786 0.359

Peak list (12 most intense, 2θ from 15° to 90°, in order of rising 2θ)
d (Å)	2θ (°)	I/Imax
2.728	32.83	95
2.665	33.63	100
1.909	47.63	11
1.905	47.73	22
1.588	58.09	14
1.551	59.62	35
1.539	60.13	19
1.364	68.82	8
1.333	70.66	9
1.214	78.87	8
1.197	80.21	10
1.092	89.79	6



3.
Diffraction record for DyHoHg4. The X-ray diffraction stick pattern is theoretical, not measured: it uses a crystal structure in Alexandria, relaxed with PBE and Cu Kα (λ = 1.5418 Å).
Peak positions follow from Bragg's law for the DFT cell and can differ from measured ones.

Cell lengths 5.939, 5.939, 5.939 Å; angles 60.00, 60.00, 60.00 degrees
Element x y z (fractional)
Dy 0.000 0.000 0.000
Ho 0.750 0.750 0.750
Hg 0.375 0.375 0.375
Hg 0.375 0.375 0.875
Hg 0.375 0.875 0.375
Hg 0.875 0.375 0.375

Peak list (12 most intense, 2θ from 15° to 90°, in order of rising 2θ)
d (Å)	2θ (°)	I/Imax
4.849	18.29	12
2.970	30.09	20
2.533	35.45	100
2.425	37.08	48
2.100	43.08	9
1.715	53.44	8
1.616	56.97	35
1.485	62.56	31
1.281	74.01	12
1.266	75.01	19
1.122	86.76	4
1.094	89.66	24



4.
Diffraction record for Dy5HoHg3. The X-ray diffraction stick pattern is theoretical, not measured: it uses a crystal structure in Alexandria, relaxed with PBE and Cu Kα (λ = 1.5418 Å).
Peak positions follow from Bragg's law for the DFT cell and can differ from measured ones.

Cell lengths 9.071, 9.071, 6.913 Å; angles 90.00, 90.00, 120.00 degrees
Element x y z (fractional)
Dy 0.000 0.333 0.250
Dy 0.000 0.667 0.750
Dy 0.333 0.000 0.250
Dy 0.333 0.333 0.750
Dy 0.333 0.667 0.000
Dy 0.333 0.667 0.500
Dy 0.667 0.000 0.750
Dy 0.667 0.333 0.000
Dy 0.667 0.333 0.500
Dy 0.667 0.667 0.250
Ho 0.000 0.000 0.000
Ho 0.000 0.000 0.500
Hg 0.000 0.333 0.750
Hg 0.000 0.667 0.250
Hg 0.333 0.000 0.750
Hg 0.333 0.333 0.250
Hg 0.667 0.000 0.250
Hg 0.667 0.667 0.750

Peak list (12 most intense, 2θ from 15° to 90°, in order of rising 2θ)
d (Å)	2θ (°)	I/Imax
3.456	25.78	10
2.749	32.57	98
2.619	34.24	100
2.087	43.35	15
1.896	47.98	33
1.728	52.99	10
1.536	60.26	34
1.512	61.32	19
1.442	64.62	32
1.309	72.15	12
1.182	81.41	15
1.138	85.30	16



5.
Diffraction record for DyHo3Hg4. The X-ray diffraction stick pattern is theoretical, not measured: it uses a crystal structure in Alexandria, relaxed with PBE and Cu Kα (λ = 1.5418 Å).
Peak positions follow from Bragg's law for the DFT cell and can differ from measured ones.

Cell lengths 5.223, 5.223, 7.490 Å; angles 90.00, 90.00, 90.00 degrees
Element x y z (fractional)
Dy 0.000 0.000 0.000
Ho 0.000 0.000 0.500
Ho 0.500 0.500 0.000
Ho 0.500 0.500 0.500
Hg 0.000 0.500 0.251
Hg 0.000 0.500 0.749
Hg 0.500 0.000 0.251
Hg 0.500 0.000 0.749

Peak list (12 most intense, 2θ from 15° to 90°, in order of rising 2θ)
d (Å)	2θ (°)	I/Imax
3.693	24.10	1
2.629	34.10	100
2.611	34.34	49
1.872	48.63	9
1.847	49.35	18
1.522	60.88	19
1.511	61.35	37
1.315	71.80	12
1.306	72.38	6
1.183	81.37	9
1.169	82.48	8
1.168	82.62	8



6.
Diffraction record for DyInHg3. The X-ray diffraction stick pattern is theoretical, not measured: it uses a crystal structure in Alexandria, relaxed with PBE and Cu Kα (λ = 1.5418 Å).
Peak positions follow from Bragg's law for the DFT cell and can differ from measured ones.

Cell lengths 8.466, 8.466, 5.538 Å; angles 94.39, 94.39, 44.80 degrees
Element x y z (fractional)
Dy 0.190 0.190 0.306
Dy 0.810 0.810 0.694
In 0.355 0.355 0.738
In 0.645 0.645 0.262
Hg 0.000 0.000 0.000
Hg 0.000 0.000 0.500
Hg 0.095 0.602 0.209
Hg 0.398 0.905 0.791
Hg 0.602 0.095 0.209
Hg 0.905 0.398 0.791

Peak list (12 most intense, 2θ from 15° to 90°, in order of rising 2θ)
d (Å)	2θ (°)	I/Imax
2.809	31.86	37
2.759	32.45	19
2.658	33.72	100
2.600	34.49	56
2.589	34.65	55
2.536	35.40	54
2.486	36.13	34
2.347	38.35	64
2.313	38.94	20
2.223	40.58	39
1.613	57.08	32
1.588	58.08	20



Q: Number 4 is which compound?
A: Dy5HoHg3